Structure and theoretical XRD peak list of MgNb2Co3Sb3 (a structure optimized by DFT (GGA-PBE); λ = 1.5418 Å (Cu Kα)).

Most intense lines, 2θ from 10° to 90°, sorted by position:
hkl 1 1 0, d = 6.060 Å, 2θ 14.62, rel. 3.3; hkl 2 0 0, d = 3.452 Å, 2θ 25.81, rel. 7.5; hkl 0 0 2, d = 3.447 Å, 2θ 25.85, rel. 19.0; hkl 1 3 1, d = 2.986 Å, 2θ 29.92, rel. 36.5; hkl 2 0 2, d = 2.111 Å, 2θ 42.83, rel. 100.0; hkl 3 3 1, d = 1.801 Å, 2θ 50.70, rel. 11.0; hkl 0 0 4, d = 1.724 Å, 2θ 53.13, rel. 9.8; hkl 2 6 2, d = 1.493 Å, 2θ 62.18, rel. 15.5; hkl 2 0 4, d = 1.370 Å, 2θ 68.51, rel. 2.4; hkl 3 3 3, d = 1.335 Å, 2θ 70.52, rel. 12.8; hkl 1 9 -3, d = 1.219 Å, 2θ 78.44, rel. 22.7; hkl 1 3 5, d = 1.218 Å, 2θ 78.51, rel. 7.8

Atomic structure:
a b c (Å): 7.3193 12.6693 7.3086
angles (deg): 90.00 109.47 90.00
Space group Cc (No. 9)
Inequivalent atoms, fractional coordinates:
Mg 0.0000 0.0847 0.0000 (multiplicity 4)
Nb 0.4944 0.0834 0.4941 (multiplicity 4)
Nb 0.4992 0.2491 0.9940 (multiplicity 4)
Co 0.1060 0.4166 0.3634 (multiplicity 4)
Co 0.1279 0.2584 0.8637 (multiplicity 4)
Co 0.1351 0.0927 0.3844 (multiplicity 4)
Sb 0.2387 0.0813 0.7506 (multiplicity 4)
Sb 0.2500 0.2525 0.2428 (multiplicity 4)
Sb 0.2553 0.4207 0.7444 (multiplicity 4)